Diffraction record for Li2FeAs2Rh. The powder XRD pattern is theoretical, not measured: it uses the PBE geometry in Alexandria and copper Kα.

Main lines, in order of rising 2θ (2θ from 10° to 90°):
2θ 14.7, I = 100
2θ 27.1, I = 58
2θ 35.6, I = 31
2θ 44.3, I = 73
2θ 46.2, I = 34
2θ 48.7, I = 18
2θ 54.3, I = 15
2θ 56.5, I = 15
2θ 80.3, I = 10
2θ 84.2, I = 20

```
data_Li2FeAs2Rh
_chemical_formula_sum 'Li4 Fe2 As4 Rh2'
_space_group_name_H-M_alt 'P 1'
_space_group_IT_number 1
_space_group_name_Hall 'P 1'
_cell_length_a 7.1945
_cell_length_b 7.1945
_cell_length_c 7.1945
_cell_angle_alpha 134.48
_cell_angle_beta 66.29
_cell_angle_gamma 134.54
loop_
_atom_site_label
_atom_site_type_symbol
_atom_site_fract_x
_atom_site_fract_y
_atom_site_fract_z
Li1 Li 0.1645 0.2426 0.4071
Li2 Li 0.3355 0.7426 0.0781
Li3 Li 0.6645 0.2574 0.9219
Li4 Li 0.8355 0.7574 0.5929
Fe1 Fe 0.2500 0.7500 0.5000
Fe2 Fe 0.7500 0.2500 0.5000
As1 As 0.1147 0.7254 0.8401
As2 As 0.3853 0.2254 0.6107
As3 As 0.6147 0.7746 0.3893
As4 As 0.8853 0.2746 0.1599
Rh1 Rh 0.2500 0.2500 0.0000
Rh2 Rh 0.7500 0.7500 0.0000
```



Diffraction record for MgFeAs4. The powder XRD pattern is theoretical, not measured: it uses the PBE geometry in Alexandria and copper Kα.

Main lines, in order of rising 2θ (2θ from 10° to 90°):
2θ 19.8, I = 37
2θ 32.5, I = 12
2θ 38.3, I = 100
2θ 40.1, I = 61
2θ 46.7, I = 16
2θ 51.1, I = 9
2θ 61.9, I = 31
2θ 68.1, I = 29
2θ 81.0, I = 11
2θ 82.1, I = 22

```
data_MgFeAs4
_chemical_formula_sum 'Mg1 Fe1 As4'
_space_group_name_H-M_alt 'P 1'
_space_group_IT_number 1
_space_group_name_Hall 'P 1'
_cell_length_a 5.5047
_cell_length_b 5.5047
_cell_length_c 5.5047
_cell_angle_alpha 60.00
_cell_angle_beta 60.00
_cell_angle_gamma 60.00
loop_
_atom_site_label
_atom_site_type_symbol
_atom_site_fract_x
_atom_site_fract_y
_atom_site_fract_z
Mg1 Mg 0.0000 0.0000 0.0000
Fe1 Fe 0.2500 0.2500 0.2500
As1 As 0.1261 0.6246 0.6246
As2 As 0.6246 0.1261 0.6246
As3 As 0.6246 0.6246 0.1261
As4 As 0.6246 0.6246 0.6246
```



> Which formula does entry 2 have?

MgFeAs4